Co2C3N6: computed powder diffraction line list (Cu Kα), based on a crystal structure in the Materials Project, relaxed with GGA-PBE.
Neutral-atom scattering factors, no anomalous dispersion.

Structure:
Unit cell a=8.064 b=8.064 c=5.025 alpha=100.22 beta=100.22 gamma=21.25
Fractional coordinates of all 11 atoms:
Co  0.171  0.171  0.353
Co  0.829  0.829  0.647
C  0.000  0.000  0.500
C  0.324  0.324  0.152
C  0.676  0.676  0.848
N  0.054  0.054  0.354
N  0.301  0.301  0.381
N  0.338  0.338  0.923
N  0.662  0.662  0.077
N  0.699  0.699  0.619
N  0.946  0.946  0.646

Peak list (10 most intense, 2θ from 5° to 70°, low angle first)
Position (°2θ)	I/Imax
11.35	1000
17.95	367
19.45	347
22.98	132
30.61	102
34.52	286
36.26	572
43.74	112
47.38	171
57.44	112

---

BaZnBi2: computed powder diffraction line list (Cu Kα), based on a crystal structure in the Materials Project, relaxed with GGA-PBE.
Neutral-atom scattering factors, no anomalous dispersion.

Structure:
Unit cell a=12.574 b=12.574 c=12.574 alpha=158.54 beta=158.54 gamma=30.53
Fractional coordinates of all 8 atoms:
Ba  0.119  0.119  0.000
Ba  0.881  0.881  0.000
Zn  0.250  0.750  0.500
Zn  0.750  0.250  0.500
Bi  0.000  0.500  0.500
Bi  0.320  0.320  0.000
Bi  0.500  0.000  0.500
Bi  0.680  0.680  0.000

Peak list (10 most intense, 2θ from 5° to 70°, low angle first)
Position (°2θ)	I/Imax
21.96	383
26.45	547
27.93	410
30.77	1000
38.48	722
40.33	287
44.72	205
47.28	230
55.54	322
64.82	240

---

KSrCeBiO6: computed powder diffraction line list (Cu Kα), based on a crystal structure in the Materials Project, relaxed with GGA-PBE.
Neutral-atom scattering factors, no anomalous dispersion.

Structure:
Unit cell a=6.131 b=6.131 c=6.131 alpha=60.00 beta=60.00 gamma=60.00
Fractional coordinates of all 10 atoms:
K  0.000  0.000  0.000
Sr  0.500  0.500  0.500
Ce  0.250  0.250  0.250
Bi  0.750  0.750  0.750
O  0.505  0.505  0.995
O  0.505  0.995  0.505
O  0.505  0.995  0.995
O  0.995  0.505  0.505
O  0.995  0.505  0.995
O  0.995  0.995  0.505

Peak list (10 most intense, 2θ from 5° to 70°, low angle first)
Position (°2θ)	I/Imax
17.72	74
20.48	378
29.13	1000
34.30	45
41.66	318
46.86	178
51.64	417
60.39	200
64.48	86
68.43	183